No. 1
The following is a simulated powder diffraction line list of Sm6Ge3Se2I. It was derived from a DFT-relaxed cell (GGA-PBE, Alexandria), using copper Kα.
Peak positions follow from Bragg's law for the DFT cell and can differ from measured ones.

Crystal structure
```
12
Lattice="9.339 -2.135 0.000 9.339 2.135 0.000 -2.029 0.000 8.368" Properties=species:S:1:pos:R:3 pbc="T T T"
Sm -0.425 0.000 1.871
Sm 5.176 0.000 3.512
Sm 4.419 0.000 7.609
Sm 12.229 0.000 0.759
Sm 11.472 0.000 4.856
Sm 17.074 0.000 6.497
Ge 2.379 0.000 2.784
Ge 9.339 0.000 0.000
Ge 14.269 0.000 5.584
Se 1.431 0.000 6.970
Se 15.217 0.000 1.398
I 8.324 0.000 4.184
```

Top 12 peaks for 10 to 90 degrees two-theta, by intensity:
| d/Å | Position (°2θ) | I/Imax |
| --- | --- | --- |
| 3.029 | 29.49 | 1000 |
| 2.136 | 42.31 | 376 |
| 2.145 | 42.12 | 236 |
| 1.744 | 52.46 | 132 |
| 2.153 | 41.97 | 117 |
| 1.352 | 69.51 | 105 |
| 3.492 | 25.51 | 105 |
| 1.234 | 77.30 | 95 |
| 1.356 | 69.27 | 94 |
| 1.516 | 61.15 | 76 |
| 1.749 | 52.29 | 63 |
| 1.351 | 69.58 | 57 |

No. 2
The following is a simulated powder diffraction line list of Ti5GaH. It was derived from a DFT-relaxed cell (GGA-PBE, Alexandria), using copper Kα.
Peak positions follow from Bragg's law for the DFT cell and can differ from measured ones.

Crystal structure
```
14
Lattice="4.676 -3.390 0.000 4.676 3.390 0.000 -2.648 0.000 6.807" Properties=species:S:1:pos:R:3 pbc="T T T"
Ti 2.690 3.336 5.105
Ti 1.890 1.910 2.533
Ti 3.485 1.177 0.215
Ti 6.138 1.910 0.871
Ti 4.544 1.177 3.188
Ti 2.161 -1.177 3.619
Ti 0.566 -1.910 5.936
Ti 3.219 -1.177 6.591
Ti 4.814 -1.910 4.274
Ti 4.014 -3.336 1.702
Ga 2.690 0.841 5.105
Ga 4.014 -0.841 1.702
H 0.000 0.000 0.000
H -1.324 0.000 3.403
```

Top 12 peaks for 10 to 90 degrees two-theta, by intensity:
| d/Å | Position (°2θ) | I/Imax |
| --- | --- | --- |
| 2.243 | 40.21 | 1000 |
| 2.279 | 39.54 | 550 |
| 2.321 | 38.80 | 233 |
| 2.676 | 33.49 | 222 |
| 2.188 | 41.26 | 219 |
| 3.035 | 29.43 | 161 |
| 3.390 | 26.29 | 149 |
| 1.922 | 47.28 | 140 |
| 1.288 | 73.54 | 133 |
| 1.959 | 46.35 | 129 |
| 1.585 | 58.21 | 125 |
| 2.030 | 44.64 | 120 |